[1]
For SnO, a structure optimized by DFT (GGA-PBE) gives the theoretical XRD peak list in this record (Cu Kα, 1.54184 Å).
Lines closer than 0.1° are merged.

```
SnO
1.0
3.3550 0.0000 0.0000
0.0000 5.6741 0.0000
0.0000 0.0000 4.2220
Sn O
2 2
Direct
0.0000 0.2319 0.0000
0.5000 0.7681 0.5000
0.0000 0.8912 0.2237
0.5000 0.1088 0.7237
```

The 8 most intense peaks (10 to 90 degrees two-theta), in order of rising 2θ:
26.31 deg, rel. 100; 30.97 deg, rel. 56; 31.53 deg, rel. 29; 34.14 deg, rel. 57; 47.15 deg, rel. 42; 53.79 deg, rel. 34; 61.71 deg, rel. 20; 72.85 deg, rel. 15

=====

[2]
For SnO, a structure optimized by DFT (GGA-PBE) gives the theoretical XRD peak list in this record (Cu Kα, 1.54184 Å).
Lines closer than 0.1° are merged.

```
SnO
1.0
3.2752 0.0000 0.0000
0.0000 3.2752 0.0000
0.0000 0.0000 3.0499
Sn O
1 1
Direct
0.0000 0.0000 0.0000
0.5000 0.5000 0.0000
```

The 8 most intense peaks (10 to 90 degrees two-theta), in order of rising 2θ:
27.23 deg, rel. 100; 29.28 deg, rel. 75; 38.89 deg, rel. 70; 40.41 deg, rel. 74; 49.41 deg, rel. 70; 56.17 deg, rel. 24; 64.60 deg, rel. 31; 71.45 deg, rel. 32

=====

[3]
For Sr2SnO4, a structure optimized by DFT (GGA-PBE) gives the theoretical XRD peak list in this record (Cu Kα, 1.54184 Å).
Lines closer than 0.1° are merged.

```
Sr2SnO4
1.0
5.8772 0.0000 0.0000
0.0000 5.8772 0.0000
0.0000 0.0000 12.5243
Sr Sn O
8 4 16
Direct
0.0147 0.0147 0.1469
0.0147 0.4853 0.6469
0.4853 0.0147 0.6469
0.4853 0.4853 0.1469
0.5147 0.5147 0.8531
0.5147 0.9853 0.3531
0.9853 0.5147 0.3531
0.9853 0.9853 0.8531
0.0000 0.0000 0.5000
0.0000 0.5000 0.0000
0.5000 0.0000 0.0000
0.5000 0.5000 0.5000
0.0439 0.0439 0.6633
0.0439 0.4561 0.1633
0.2500 0.2500 0.4692
0.2500 0.2500 0.9692
0.2500 0.7500 0.0000
0.2500 0.7500 0.5000
0.4561 0.0439 0.1633
0.4561 0.4561 0.6633
0.5439 0.5439 0.3367
0.5439 0.9561 0.8367
0.7500 0.2500 0.0000
0.7500 0.2500 0.5000
0.7500 0.7500 0.0308
0.7500 0.7500 0.5308
0.9561 0.5439 0.8367
0.9561 0.9561 0.3367
```

The 8 most intense peaks (10 to 90 degrees two-theta), in order of rising 2θ:
14.14 deg, rel. 12; 30.38 deg, rel. 100; 42.13 deg, rel. 11; 43.56 deg, rel. 21; 53.87 deg, rel. 12; 54.01 deg, rel. 26; 63.13 deg, rel. 9; 71.82 deg, rel. 12

=====

[4]
For Sr2SnO4, a structure optimized by DFT (GGA-PBE) gives the theoretical XRD peak list in this record (Cu Kα, 1.54184 Å).
Lines closer than 0.1° are merged.

```
Sr2SnO4
1.0
2.9000 -6.2905 0.0000
2.9000 6.2905 0.0000
0.0000 0.0000 5.9190
Sr Sn O
4 2 8
Direct
0.1472 0.8528 0.9854
0.3528 0.6472 0.4854
0.6472 0.3528 0.5146
0.8528 0.1472 0.0146
0.0000 0.0000 0.5000
0.5000 0.5000 0.0000
0.1632 0.8368 0.5572
0.2284 0.2716 0.7500
0.2716 0.2284 0.2500
0.3368 0.6632 0.0572
0.6632 0.3368 0.9428
0.7284 0.7716 0.7500
0.7716 0.7284 0.2500
0.8368 0.1632 0.4428
```

The 8 most intense peaks (10 to 90 degrees two-theta), in order of rising 2θ:
14.08 deg, rel. 20; 30.20 deg, rel. 32; 30.33 deg, rel. 100; 30.83 deg, rel. 33; 43.70 deg, rel. 35; 53.72 deg, rel. 22; 54.52 deg, rel. 20; 63.09 deg, rel. 16

=====

[5]
For Sr2SnO4, a structure optimized by DFT (GGA-PBE) gives the theoretical XRD peak list in this record (Cu Kα, 1.54184 Å).
Lines closer than 0.1° are merged.

```
Sr2SnO4
1.0
-2.0589 2.0589 6.3508
2.0589 -2.0589 6.3508
2.0589 2.0589 -6.3508
Sr Sn O
2 1 4
Direct
0.1462 0.1462 0.0000
0.8538 0.8538 0.0000
0.5000 0.5000 0.0000
0.0000 0.5000 0.5000
0.3360 0.3360 0.0000
0.5000 0.0000 0.5000
0.6640 0.6640 0.0000
```

The 8 most intense peaks (10 to 90 degrees two-theta), in order of rising 2θ:
13.94 deg, rel. 22; 30.28 deg, rel. 100; 30.71 deg, rel. 68; 41.78 deg, rel. 16; 43.98 deg, rel. 37; 53.52 deg, rel. 20; 54.33 deg, rel. 41; 62.98 deg, rel. 18

=====

[6]
For Sr3Sn2O7, a structure optimized by DFT (GGA-PBE) gives the theoretical XRD peak list in this record (Cu Kα, 1.54184 Å).
Lines closer than 0.1° are merged.

```
Sr3Sn2O7
1.0
10.3541 -2.9438 0.0000
10.3541 2.9438 0.0000
0.0000 0.0000 5.8014
Sr Sn O
6 4 14
Direct
0.0502 0.5753 0.7500
0.2429 0.7571 0.7500
0.4247 0.9498 0.7500
0.5753 0.0502 0.2500
0.7571 0.2429 0.2500
0.9498 0.4247 0.2500
0.1529 0.6495 0.2500
0.3505 0.8471 0.2500
0.6495 0.1529 0.7500
0.8471 0.3505 0.7500
0.0081 0.3864 0.7500
0.0825 0.0825 0.0000
0.0825 0.0825 0.5000
0.3264 0.6736 0.2500
0.3864 0.0081 0.2500
0.3866 0.3866 0.0000
0.3866 0.3866 0.5000
0.6134 0.6134 0.0000
0.6134 0.6134 0.5000
0.6136 0.9919 0.7500
0.6736 0.3264 0.7500
0.9175 0.9175 0.0000
0.9175 0.9175 0.5000
0.9919 0.6136 0.2500
```

The 8 most intense peaks (10 to 90 degrees two-theta), in order of rising 2θ:
30.36 deg, rel. 28; 30.56 deg, rel. 100; 30.83 deg, rel. 30; 43.71 deg, rel. 13; 43.82 deg, rel. 34; 54.10 deg, rel. 33; 54.65 deg, rel. 20; 63.62 deg, rel. 16

=====

Question: Which formula does entry 3 have?
Answer: Sr2SnO4